Li9Mn2Co5O16: calculated powder diffraction line list (Cu Kα X-rays), based on a structure optimized by DFT (GGA+U).

Structure:
Cell lengths 10.3112, 11.4813, 5.8313 Å; angles 90.00, 123.82, 90.00 degrees
Space group Cm (No. 8)
Unique sites:
Li 0.0000 0.0000 0.0000
Li 0.0010 0.0000 0.4961
Li 0.0058 0.2498 0.0011
Li 0.0076 0.5000 0.0091
Li 0.2434 0.1245 0.9866
Li 0.2645 0.3781 0.0195
Mn 0.2474 0.1252 0.4941
Co 0.0038 0.2485 0.5009
Co 0.0062 0.5000 0.5076
Co 0.2647 0.3760 0.5117
O 0.0222 0.3759 0.3038
O 0.0238 0.1333 0.2832
O 0.2411 0.0000 0.2574
O 0.2478 0.5000 0.2609
O 0.2491 0.2442 0.2607
O 0.2563 0.0000 0.7267
O 0.2592 0.2403 0.7423
O 0.2657 0.5000 0.7560
O 0.4804 0.1213 0.7048
O 0.4907 0.3642 0.7160

Largest 6 diffraction maxima, in order of falling intensity, 15 to 90 degrees two-theta:
| (hkl) | two_theta | intensity |
| --- | --- | --- |
| 0 0 1 | 18.31 | 100 |
| 2 4 -2 | 44.28 | 51 |
| 4 0 0 | 42.20 | 29 |
| 2 4 -1 | 36.48 | 25 |
| 4 0 -1 | 35.14 | 15 |
| 6 4 -2 | 63.09 | 15 |

MnH2Cl2O: calculated powder diffraction line list (Cu Kα X-rays), based on a structure optimized by DFT (GGA+U).

Structure:
Cell lengths 9.1046, 3.7703, 11.6934 Å; angles 90.00, 90.00, 90.00 degrees
Space group Pnma (No. 62)
Unique sites:
Mn 0.1829 0.2500 0.0177
H 0.0545 0.7500 0.6477
H 0.1885 0.7500 0.7366
Cl 0.0360 0.7500 0.1232
Cl 0.1897 0.2500 0.4077
O 0.1619 0.7500 0.6550

Largest 6 diffraction maxima, in order of falling intensity, 15 to 90 degrees two-theta:
| (hkl) | two_theta | intensity |
| --- | --- | --- |
| 0 0 2 | 15.15 | 100 |
| 2 1 2 | 34.50 | 69 |
| 1 1 2 | 29.86 | 54 |
| 3 0 3 | 37.56 | 42 |
| 2 1 1 | 31.75 | 37 |
| 2 0 2 | 24.79 | 36 |

NdMo8O14: calculated powder diffraction line list (Cu Kα X-rays), based on a structure optimized by DFT (GGA+U).

Structure:
Cell lengths 9.4129, 10.8158, 12.3987 Å; angles 90.00, 90.00, 90.00 degrees
Space group Aea2 (No. 41)
Unique sites:
Nd 0.0000 0.0000 0.0000
Mo 0.1271 0.1868 0.5959
Mo 0.1291 0.1725 0.3314
Mo 0.1432 0.4151 0.9641
Mo 0.1455 0.4313 0.2128
O 0.0000 0.0000 0.3521
O 0.0000 0.0000 0.8239
O 0.0029 0.2398 0.4673
O 0.0197 0.2681 0.2027
O 0.2071 0.3679 0.5881
O 0.2417 0.3423 0.3365
O 0.2464 0.0922 0.4691
O 0.2467 0.1000 0.2017

Largest 6 diffraction maxima, in order of falling intensity, 15 to 90 degrees two-theta:
| (hkl) | two_theta | intensity |
| --- | --- | --- |
| 2 1 3 | 29.94 | 100 |
| 3 1 1 | 30.53 | 95 |
| 1 3 1 | 27.45 | 80 |
| 0 2 4 | 33.32 | 62 |
| 1 1 3 | 24.93 | 56 |
| 2 3 1 | 32.10 | 54 |

CaCrP2O7: calculated powder diffraction line list (Cu Kα X-rays), based on a structure optimized by DFT (GGA+U).

Structure:
Cell lengths 6.1908, 6.6071, 7.3814 Å; angles 81.99, 88.27, 68.62 degrees
Space group P-1 (No. 2)
Unique sites:
Ca 0.2032 0.2868 0.3643
Cr 0.2322 0.8748 0.8286
P 0.2649 0.7811 0.3790
P 0.3350 0.3417 0.8821
O 0.1036 0.0000 0.2713
O 0.1385 0.6291 0.4527
O 0.1638 0.5806 0.8554
O 0.2468 0.1854 0.8032
O 0.4010 0.8347 0.5227
O 0.4243 0.2650 0.0825
O 0.4381 0.6487 0.2322

Largest 6 diffraction maxima, in order of falling intensity, 15 to 90 degrees two-theta:
| (hkl) | two_theta | intensity |
| --- | --- | --- |
| 1 0 -2 | 28.63 | 100 |
| 1 0 2 | 29.26 | 85 |
| 1 2 1 | 28.76 | 45 |
| 2 0 0 | 31.04 | 45 |
| 1 2 0 | 27.69 | 43 |
| 1 0 -1 | 19.40 | 14 |

MgNiHO2: calculated powder diffraction line list (Cu Kα X-rays), based on a structure optimized by DFT (GGA+U).

Structure:
Cell lengths 3.1248, 3.1248, 5.4231 Å; angles 90.00, 90.00, 120.00 degrees
Space group P3m1 (No. 156)
Unique sites:
Mg 0.0000 0.0000 0.0000
Ni 0.3333 0.6667 0.5514
H 0.6667 0.3333 0.2101
O 0.0000 0.0000 0.3779
O 0.6667 0.3333 0.8066

Largest 6 diffraction maxima, in order of falling intensity, 15 to 90 degrees two-theta:
| (hkl) | two_theta | intensity |
| --- | --- | --- |
| 0 1 1 | 37.13 | 100 |
| 0 0 1 | 16.35 | 50 |
| 0 1 2 | 47.47 | 46 |
| 0 0 2 | 33.07 | 35 |
| 1 0 3 | 61.73 | 34 |
| 1 1 0 | 59.13 | 28 |

LiV4O10: calculated powder diffraction line list (Cu Kα X-rays), based on a structure optimized by DFT (GGA+U).

Structure:
Cell lengths 5.9898, 6.7206, 7.6134 Å; angles 75.20, 74.05, 74.62 degrees
Space group P1 (No. 1)
Unique sites:
Li 0.0000 0.0000 0.0000
V 0.1404 0.3306 0.5453
V 0.4397 0.7550 0.6889
V 0.6089 0.1877 0.7372
V 0.9868 0.8867 0.4863
O 0.0069 0.6053 0.5430
O 0.2428 0.7805 0.8861
O 0.2691 0.2244 0.7401
O 0.2929 0.8599 0.4984
O 0.3507 0.3146 0.3603
O 0.5619 0.4949 0.6838
O 0.6671 0.9130 0.6487
O 0.6819 0.1105 0.9412
O 0.9225 0.1715 0.5571
O 0.9712 0.9573 0.2678

Largest 6 diffraction maxima, in order of falling intensity, 15 to 90 degrees two-theta:
| (hkl) | two_theta | intensity |
| --- | --- | --- |
| 1 0 -1 | 22.12 | 100 |
| 0 2 1 | 28.40 | 99 |
| 1 0 2 | 26.32 | 83 |
| 2 1 1 | 30.48 | 81 |
| 1 2 0 | 29.24 | 81 |
| 1 -1 1 | 25.99 | 65 |

CaLa2FeO6: calculated powder diffraction line list (Cu Kα X-rays), based on a structure optimized by DFT (GGA+U).

Structure:
Cell lengths 5.8413, 5.8413, 13.4742 Å; angles 90.00, 90.00, 120.00 degrees
Space group R-3 (No. 148, hexagonal axes)
Unique sites:
Ca 0.0000 0.0000 0.0000
La 0.0000 0.0000 0.2604
Fe 0.0000 0.0000 0.5000
O 0.0385 0.6101 0.2481

Largest 6 diffraction maxima, in order of falling intensity, 15 to 90 degrees two-theta:
| (hkl) | two_theta | intensity |
| --- | --- | --- |
| 1 1 0 | 30.61 | 100 |
| 1 0 4 | 31.92 | 93 |
| 0 2 4 | 44.81 | 53 |
| 2 1 4 | 55.24 | 42 |
| 0 1 2 | 21.97 | 40 |
| 3 0 0 | 54.41 | 28 |

Sr6Ca2Fe7CoO24: calculated powder diffraction line list (Cu Kα X-rays), based on a structure optimized by DFT (GGA+U).

Structure:
Cell lengths 11.0061, 11.0103, 7.7466 Å; angles 90.00, 90.00, 90.00 degrees
Space group Cmm2 (No. 35)
Unique sites:
Sr 0.0000 0.2501 0.0000
Sr 0.2501 0.0000 0.0000
Sr 0.2501 0.0000 0.5038
Ca 0.0000 0.2497 0.5044
Fe 0.0000 0.0000 0.2531
Fe 0.0000 0.0000 0.7505
Fe 0.0000 0.5000 0.2542
Fe 0.2500 0.2500 0.2532
Fe 0.2500 0.2500 0.7508
Co 0.0000 0.5000 0.7508
O 0.0000 0.0000 0.0029
O 0.0000 0.0000 0.5010
O 0.0000 0.5000 0.5147
O 0.0000 0.5000 0.9885
O 0.1230 0.3745 0.7484
O 0.1225 0.3757 0.2552
O 0.1238 0.1258 0.2552
O 0.1237 0.1256 0.7486
O 0.2500 0.2500 0.0018
O 0.2500 0.2500 0.5020

Largest 6 diffraction maxima, in order of falling intensity, 15 to 90 degrees two-theta:
| (hkl) | two_theta | intensity |
| --- | --- | --- |
| 4 0 0 | 32.59 | 100 |
| 4 4 0 | 46.68 | 27 |
| 6 2 2 | 58.10 | 25 |
| 4 4 4 | 68.33 | 15 |
| 0 0 4 | 46.91 | 13 |
| 4 0 4 | 58.25 | 12 |